(1)
Diffraction record for Zr2TiPb3O9. The powder diffraction line list is computed, not measured: it uses the GGA-PBE geometry in the Materials Project and Cu Kα, 1.54184 Å.
Neutral-atom scattering factors, no anomalous dispersion.

Top 10 peaks for 10 to 90 degrees two-theta, in order of falling intensity:
d 2.926, I = 100, hkl 1 1 0; d 2.960, I = 99, hkl 1 0 2; d 2.081, I = 51, hkl 0 2 2; d 4.162, I = 46, hkl 0 1 1; d 1.696, I = 41, hkl 2 1 2; d 2.394, I = 25, hkl 2 0 1; d 1.870, I = 22, hkl 1 1 3; d 1.690, I = 20, hkl 3 0 0; d 1.715, I = 20, hkl 0 1 4; d 1.463, I = 18, hkl 2 2 0

Cell: 5.8528 5.8528 7.2911 Å, 90.00 90.00 120.00°
Space group P3m1 (No. 156)
Inequivalent atoms, fractional coordinates:
Zr 0.0000 0.0000 0.0000
Zr 0.3333 0.6667 0.3444
Ti 0.6667 0.3333 0.6754
Pb 0.0000 0.0000 0.5448
Pb 0.3333 0.6667 0.8781
Pb 0.6667 0.3333 0.2269
O 0.1740 0.3481 0.1387
O 0.3341 0.1671 0.7973
O 0.5105 0.0210 0.4809

---

(2)
Diffraction record for Er3SnC. The powder diffraction line list is computed, not measured: it uses the GGA-PBE geometry in the Materials Project and Cu Kα, 1.54184 Å.
Neutral-atom scattering factors, no anomalous dispersion.

Top 10 peaks for 10 to 90 degrees two-theta, in order of falling intensity:
d 5.553, I = 100, hkl 1 0 0; d 2.776, I = 97, hkl 2 0 0; d 1.963, I = 72, hkl 2 2 0; d 3.206, I = 71, hkl 1 1 1; d 2.483, I = 55, hkl 2 1 0; d 1.242, I = 33, hkl 4 2 0; d 1.674, I = 32, hkl 3 1 1; d 1.851, I = 30, hkl 3 0 0; d 1.133, I = 25, hkl 4 2 2; d 1.603, I = 25, hkl 2 2 2

Cell: 5.5527 5.5527 5.5527 Å, 90.00 90.00 90.00°
Space group Pm-3m (No. 221)
Inequivalent atoms, fractional coordinates:
Er 0.0000 0.0000 0.5000
Sn 0.0000 0.0000 0.0000
C 0.5000 0.5000 0.5000

---

(3)
Diffraction record for KTiO2F. The powder diffraction line list is computed, not measured: it uses the GGA-PBE geometry in the Materials Project and Cu Kα, 1.54184 Å.
Neutral-atom scattering factors, no anomalous dispersion.

Top 10 peaks for 10 to 90 degrees two-theta, in order of falling intensity:
d 2.843, I = 100, hkl 1 0 1; d 1.938, I = 61, hkl 2 0 0; d 2.740, I = 53, hkl 1 1 0; d 2.092, I = 40, hkl 0 0 2; d 1.422, I = 37, hkl 2 0 2; d 1.601, I = 31, hkl 2 1 1; d 2.293, I = 23, hkl 1 1 1; d 1.663, I = 22, hkl 1 1 2; d 3.876, I = 18, hkl 1 0 0; d 1.146, I = 16, hkl 2 2 2

Cell: 3.8755 3.8755 4.1848 Å, 90.00 90.00 90.00°
Space group P4/mmm (No. 123)
Inequivalent atoms, fractional coordinates:
K 0.0000 0.0000 0.0000
Ti 0.5000 0.5000 0.5000
O 0.0000 0.5000 0.5000
F 0.5000 0.5000 0.0000

---

(4)
Diffraction record for Hf3Ta. The powder diffraction line list is computed, not measured: it uses the GGA-PBE geometry in the Materials Project and Cu Kα, 1.54184 Å.
Neutral-atom scattering factors, no anomalous dispersion.

Top 6 peaks for 10 to 90 degrees two-theta, in order of falling intensity:
d 2.544, I = 100, hkl 1 1 1; d 2.203, I = 50, hkl 2 0 0; d 1.329, I = 40, hkl 3 1 1; d 1.558, I = 34, hkl 2 2 0; d 1.272, I = 12, hkl 2 2 2; d 1.102, I = 6, hkl 4 0 0

Cell: 4.4069 4.4069 4.4069 Å, 90.00 90.00 90.00°
Space group Pm-3m (No. 221)
Inequivalent atoms, fractional coordinates:
Hf 0.0000 0.0000 0.5000
Ta 0.5000 0.5000 0.5000